Structure and computed X-ray powder pattern of Cs6Fe2O5 (a crystal structure in Alexandria, relaxed with GGA+U; Cu Kα X-rays).
Intensities are scaled so that the largest is 100.

Structural model:
a b c (Å): 7.552 12.560 7.462
angles (deg): 90.00 94.75 90.00
Space group C2/m (No. 12)
Inequivalent atoms, fractional coordinates:
1 Cs 0.000 0.214 0.000
2 Cs 0.000 0.241 0.500
3 Cs 0.145 0.500 0.810
4 Fe 0.198 0.000 0.685
5 O 0.000 0.000 0.500
6 O 0.199 0.370 0.226

Principal peaks in the range 2θ = 5–70°, most intense first:
2θ (°), I_rel
27.9, 100
27.6, 96
28.4, 47
26.8, 34
35.3, 31
35.5, 22
24.3, 22
32.4, 22
44.6, 21
50.0, 18